Sc2CdPd3: computed X-ray diffraction stick pattern (Cu Kα, 1.54184 Å), based on a cell relaxed with PBE.
Intensities are scaled so that the largest is 100.

Cell and atoms:
Lattice parameters (Å, degrees): 4.6585 4.6585 11.3978 90.00 90.00 120.00
Space group P-3m1 (No. 164)
Inequivalent atoms, fractional coordinates:
Sc1 0.0000 0.0000 0.0000
Sc2 0.0000 0.0000 0.5000
Sc3 0.3333 0.6667 0.1757
Cd1 0.3333 0.6667 0.6698
Pd1 0.0000 0.0000 0.2434
Pd2 0.3333 0.6667 0.4217
Pd3 0.3333 0.6667 0.9254

Main lines, in order of rising 2θ (10° ≤ 2θ ≤ 80°):
h k l	2θ (°)	d/Å	I (rel.)
1 0 1	23.4	3.802	5
0 1 2	27.1	3.293	7
1 0 3	32.4	2.766	2
1 1 0	38.7	2.328	100
0 1 5	45.7	1.986	2
2 0 2	47.8	1.901	2
0 2 4	55.8	1.646	17
2 0 5	61.4	1.511	1
1 2 2	63.1	1.473	3
3 0 0	70.0	1.344	32